Starting from a cell relaxed with GGA-PBE, the X-ray powder pattern of K2NdTaO6 was simulated for CuKα.
Peak positions follow from Bragg's law for the DFT cell and can differ from measured ones.

Largest 10 diffraction maxima, sorted by position, 2θ from 10° to 80°:
- d = 4.363 Å, I = 64, hkl 0 0 2
- d = 3.085 Å, I = 100, hkl 1 1 1
- d = 2.182 Å, I = 33, hkl 0 0 4
- d = 1.951 Å, I = 29, hkl 1 1 3
- d = 1.781 Å, I = 40, hkl 2 0 2
- d = 1.543 Å, I = 20, hkl 2 2 2
- d = 1.454 Å, I = 14, hkl 0 0 6
- d = 1.380 Å, I = 18, hkl 1 1 5
- d = 1.260 Å, I = 6, hkl 4 0 0
- d = 1.210 Å, I = 7, hkl 3 3 1

Structure:
```
data_K2NdTaO6
_cell_length_a 6.1698
_cell_length_b 6.1699
_cell_length_c 10.6883
_cell_angle_alpha 90.00
_cell_angle_beta 125.25
_cell_angle_gamma 90.00
_space_group_name_H-M_alt 'P 1 21/c 1'
_space_group_IT_number 14
loop_
_space_group_symop_operation_xyz
'x,y,z'
'-x,-y,-z'
'-x,y+1/2,-z+1/2'
'x,-y+1/2,z+1/2'
loop_
_atom_site_label
_atom_site_type_symbol
_atom_site_fract_x
_atom_site_fract_y
_atom_site_fract_z
_atom_site_occupancy
K1 K 0.2500 0.0003 0.2500 1
Nd1 Nd 0.0000 0.0000 0.5000 1
Ta1 Ta 0.5000 0.0000 0.0000 1
O1 O 0.2702 0.9999 0.7712 1
O2 O 0.2709 0.2282 0.0005 1
O3 O 0.2724 0.7296 0.5006 1
```